[1]
Structure and simulated powder X-ray diffraction pattern of Hf2TiP3 (the PBE geometry in Alexandria; copper Kα).
No peak broadening, texture or thermal motion is included.

Structural model:
Cell: 3.6343 3.6343 18.0087 Å, 90.00 90.00 120.00°
Space group P6_3/mmc (No. 194)
One atom of each set of equivalent atoms:
Hf 0.3333 0.6667 0.0871
Ti 0.0000 0.0000 0.2500
P 0.0000 0.0000 0.0000
P 0.3333 0.6667 0.6720

Top 8 peaks for 2θ = 10–90°, by angle:
d 3.001, 29.77 deg, rel. 19, (0 0 6); d 2.787, 32.11 deg, rel. 100, (1 0 3); d 2.580, 34.78 deg, rel. 31, (1 0 4); d 2.370, 37.97 deg, rel. 17, (1 0 5); d 1.992, 45.54 deg, rel. 24, (1 0 7); d 1.817, 50.21 deg, rel. 35, (1 1 0); d 1.689, 54.33 deg, rel. 19, (1 0 9); d 1.554, 59.46 deg, rel. 17, (1 1 6)

[2]
Structure and simulated powder X-ray diffraction pattern of MoIr (the PBE geometry in Alexandria; copper Kα).
No peak broadening, texture or thermal motion is included.

Structural model:
Cell: 3.3039 3.3039 5.6838 Å, 90.00 90.00 90.00°
Space group P4/nmm (No. 129, origin choice 2)
One atom of each set of equivalent atoms:
Mo 0.2500 0.2500 0.1432
Ir 0.2500 0.2500 0.6356

Top 8 peaks for 2θ = 10–90°, by angle:
d 5.684, 15.59 deg, rel. 14, (0 0 1); d 2.856, 31.32 deg, rel. 12, (1 0 1); d 2.336, 38.54 deg, rel. 65, (1 1 0); d 2.155, 41.93 deg, rel. 100, (1 0 2); d 1.652, 55.64 deg, rel. 22, (2 0 0); d 1.311, 72.04 deg, rel. 40, (2 1 2); d 1.214, 78.84 deg, rel. 15, (1 1 4); d 1.168, 82.60 deg, rel. 7, (2 2 0)

[3]
Structure and simulated powder X-ray diffraction pattern of LaPbNO2 (the PBE geometry in Alexandria; copper Kα).
No peak broadening, texture or thermal motion is included.

Structural model:
Cell: 4.2541 4.2541 4.4039 Å, 90.00 90.00 90.00°
Space group P4/mmm (No. 123)
One atom of each set of equivalent atoms:
La 0.0000 0.0000 0.0000
Pb 0.5000 0.5000 0.5000
N 0.5000 0.5000 0.0000
O 0.0000 0.5000 0.5000

Top 8 peaks for 2θ = 10–90°, by angle:
d 3.060, 29.19 deg, rel. 100, (1 0 1); d 3.008, 29.70 deg, rel. 46, (1 1 0); d 2.202, 40.99 deg, rel. 14, (0 0 2); d 2.127, 42.50 deg, rel. 25, (2 0 0); d 1.777, 51.43 deg, rel. 21, (1 1 2); d 1.746, 52.39 deg, rel. 41, (2 1 1); d 1.530, 60.52 deg, rel. 17, (2 0 2); d 1.162, 83.11 deg, rel. 11, (2 1 3)